Entry 1:
Starting from a cell relaxed with GGA-PBE, the X-ray powder pattern of YBe17Mo was simulated for Cu Kα (λ = 1.5418 Å).
Neutral-atom scattering factors, no anomalous dispersion.

Atomic structure:
```
YBe17Mo
1.0
3.7444 2.1618 3.6379
-3.7444 2.1618 3.6379
0.0000 -4.3237 3.6379
Y Be Mo
1 17 1
direct
0.0000 0.0000 0.0000 Y
0.0478 0.3439 0.6249 Be
0.0478 0.6249 0.3439 Be
0.1845 0.6782 0.6782 Be
0.2476 0.2476 0.2476 Be
0.3415 0.3415 0.8382 Be
0.3415 0.8382 0.3415 Be
0.3439 0.0478 0.6249 Be
0.3439 0.6249 0.0478 Be
0.4408 0.4408 0.4408 Be
0.5029 0.9903 0.9903 Be
0.6249 0.0478 0.3439 Be
0.6249 0.3439 0.0478 Be
0.6782 0.1845 0.6782 Be
0.6782 0.6782 0.1845 Be
0.8382 0.3415 0.3415 Be
0.9903 0.5029 0.9903 Be
0.9903 0.9903 0.5029 Be
0.6754 0.6754 0.6754 Mo
```

Peak list (10 most intense, 10 to 80 degrees two-theta, sorted by position)
- 15.90°, intensity 62
- 21.28°, intensity 27
- 23.76°, intensity 100
- 24.47°, intensity 32
- 28.72°, intensity 22
- 34.37°, intensity 99
- 41.78°, intensity 36
- 48.63°, intensity 30
- 49.02°, intensity 53
- 71.53°, intensity 24

Entry 2:
Starting from a cell relaxed with GGA-PBE, the X-ray powder pattern of BeZnMo2 was simulated for Cu Kα (λ = 1.5418 Å).
Neutral-atom scattering factors, no anomalous dispersion.

Atomic structure:
```
BeZnMo2
1.0
2.7340 0.0000 0.0000
0.0000 4.1622 0.0000
-0.7176 0.0000 4.8924
Be Zn Mo
1 1 2
direct
0.0000 0.0000 0.0000 Be
0.9702 0.5000 0.7461 Zn
0.3844 0.0000 0.4967 Mo
0.5856 0.5000 0.2219 Mo
```

Peak list (10 most intense, 10 to 80 degrees two-theta, sorted by position)
- 18.13°, intensity 41
- 21.35°, intensity 18
- 28.15°, intensity 53
- 39.74°, intensity 33
- 40.37°, intensity 50
- 41.81°, intensity 90
- 42.88°, intensity 100
- 43.49°, intensity 49
- 60.83°, intensity 29
- 79.41°, intensity 16

Entry 3:
Starting from a cell relaxed with GGA-PBE, the X-ray powder pattern of Be2ZnMo2 was simulated for Cu Kα (λ = 1.5418 Å).
Neutral-atom scattering factors, no anomalous dispersion.

Atomic structure:
```
Be2ZnMo2
1.0
6.0015 0.0000 0.0000
0.0000 6.0015 0.0000
0.0000 0.0000 3.3524
Be Zn Mo
4 2 4
direct
0.1184 0.3816 0.0000 Be
0.3816 0.8816 0.0000 Be
0.6184 0.1184 0.0000 Be
0.8816 0.6184 0.0000 Be
0.0000 0.0000 0.0000 Zn
0.5000 0.5000 0.0000 Zn
0.1770 0.6770 0.5000 Mo
0.3230 0.1770 0.5000 Mo
0.6770 0.8230 0.5000 Mo
0.8230 0.3230 0.5000 Mo
```

Peak list (10 most intense, 10 to 80 degrees two-theta, sorted by position)
- 26.59°, intensity 26
- 33.38°, intensity 80
- 34.08°, intensity 47
- 40.34°, intensity 100
- 42.61°, intensity 24
- 43.18°, intensity 96
- 47.93°, intensity 43
- 65.67°, intensity 21
- 70.54°, intensity 28
- 72.53°, intensity 30